[1]
Starting from the PBE geometry in Alexandria, the powder diffraction line list of AgH6N2F2 was simulated for CuKα.

Main lines, in order of rising 2θ (10 to 80 degrees two-theta):
(0 0 1), 2θ 16.24, I = 100
(0 1 0), 2θ 18.13, I = 47
(1 0 0), 2θ 23.30, I = 49
(0 1 -1), 2θ 24.28, I = 31
(0 1 1), 2θ 24.58, I = 45
(1 0 1), 2θ 24.73, I = 25
(1 1 0), 2θ 27.07, I = 61
(1 -1 1), 2θ 33.06, I = 23
(1 1 -1), 2θ 34.73, I = 29
(0 1 2), 2θ 37.96, I = 25

Cell and atoms:
Cell lengths 4.0151, 4.9690, 5.6556 Å; angles 88.06, 74.77, 80.04 degrees
Space group P-1 (No. 2)
Symmetry-distinct sites (fractional):
Ag1 0.0000 0.0000 0.0000
H1 0.0665 0.4414 0.2368
H2 0.1868 0.7389 0.5594
H3 0.3480 0.5372 0.7634
N1 0.1326 0.6716 0.7385
F1 0.3051 0.7460 0.2233



[2]
Starting from the PBE geometry in Alexandria, the powder diffraction line list of NaAg2HF4 was simulated for CuKα.

Main lines, in order of rising 2θ (10 to 80 degrees two-theta):
(0 2 0), 2θ 16.22, I = 100
(0 0 2), 2θ 25.24, I = 36
(2 0 0), 2θ 28.44, I = 24
(0 2 2), 2θ 30.15, I = 44
(0 4 0), 2θ 32.78, I = 46
(2 2 0), 2θ 32.91, I = 35
(2 0 2), 2θ 38.39, I = 59
(0 4 2), 2θ 41.81, I = 25
(2 2 2), 2θ 41.92, I = 45
(2 4 2), 2θ 51.34, I = 41

Cell and atoms:
Cell lengths 6.2758, 10.9298, 7.0580 Å; angles 90.00, 90.00, 90.00 degrees
Space group Fmm2 (No. 42)
Symmetry-distinct sites (fractional):
Na1 0.0000 0.0000 0.0000
Ag1 0.2500 0.2500 0.2638
H1 0.0000 0.0000 0.3416
F1 0.0000 0.2046 0.0147
F2 0.1830 0.0000 0.3259